1.
Starting from a GGA-PBE-relaxed structure, the powder diffraction line list of Ce3CBr3 was simulated for CuKα.
No peak broadening, texture or thermal motion is included.

Peak list (6 most intense, 10 to 80 degrees two-theta, in order of rising 2θ)
2θ/deg, intensity
31.10, 45
31.35, 100
32.94, 21
43.84, 28
45.64, 26
47.13, 19

Structure:
abc: 8.4965 3.8564 11.5213
angles: 90.00 93.25 90.00
Space group P2_1/m (No. 11)
Symmetry-distinct sites (fractional):
1 Ce 0.0896 0.2500 0.3934 (multiplicity 2)
2 Ce 0.1183 0.2500 0.8334 (multiplicity 2)
3 Ce 0.3146 0.7500 0.6181 (multiplicity 2)
4 C 0.1209 0.2500 0.6188 (multiplicity 2)
5 Br 0.1430 0.2500 0.1201 (multiplicity 2)
6 Br 0.3817 0.7500 0.3627 (multiplicity 2)
7 Br 0.3825 0.7500 0.8748 (multiplicity 2)

---

2.
Starting from a GGA-PBE-relaxed structure, the powder diffraction line list of Na2Pb5Br12 was simulated for CuKα.
No peak broadening, texture or thermal motion is included.

Peak list (6 most intense, 10 to 80 degrees two-theta, in order of rising 2θ)
2θ/deg, intensity
13.27, 69
19.32, 68
26.73, 100
28.78, 67
31.50, 94
32.23, 71

Structure:
abc: 16.0036 8.7588 10.8050
angles: 90.00 112.49 90.00
Space group C2/m (No. 12)
Symmetry-distinct sites (fractional):
1 Na 0.0000 0.2486 0.0000 (multiplicity 4)
2 Pb 0.0000 0.0000 0.5000 (multiplicity 2)
3 Pb 0.1774 0.5000 0.3709 (multiplicity 4)
4 Pb 0.2388 0.5000 0.9787 (multiplicity 4)
5 Br 0.0154 0.5000 0.8182 (multiplicity 4)
6 Br 0.0691 0.0000 0.8332 (multiplicity 4)
7 Br 0.1358 0.2317 0.5022 (multiplicity 8)
8 Br 0.1946 0.2684 0.1475 (multiplicity 8)

---

3.
Starting from a GGA-PBE-relaxed structure, the powder diffraction line list of Nd4Dy15Ho was simulated for CuKα.
No peak broadening, texture or thermal motion is included.

Peak list (6 most intense, 10 to 80 degrees two-theta, in order of rising 2θ)
2θ/deg, intensity
30.69, 100
35.54, 34
35.65, 17
51.20, 36
60.84, 29
60.98, 14

Structure:
abc: 5.0513 5.0513 25.1835
angles: 90.00 90.00 90.00
Space group P4/mmm (No. 123)
Symmetry-distinct sites (fractional):
1 Nd 0.0000 0.0000 0.1004 (multiplicity 2)
2 Nd 0.0000 0.0000 0.3008 (multiplicity 2)
3 Dy 0.0000 0.5000 0.0000 (multiplicity 2)
4 Dy 0.0000 0.5000 0.2008 (multiplicity 4)
5 Dy 0.0000 0.5000 0.4016 (multiplicity 4)
6 Dy 0.5000 0.5000 0.1003 (multiplicity 2)
7 Dy 0.5000 0.5000 0.3013 (multiplicity 2)
8 Dy 0.5000 0.5000 0.5000 (multiplicity 1)
9 Ho 0.0000 0.0000 0.5000 (multiplicity 1)

---

4.
Starting from a GGA-PBE-relaxed structure, the powder diffraction line list of YAlAu3 was simulated for CuKα.
No peak broadening, texture or thermal motion is included.

Peak list (6 most intense, 10 to 80 degrees two-theta, in order of rising 2θ)
2θ/deg, intensity
22.66, 26
31.08, 20
33.39, 29
35.39, 100
46.26, 19
60.99, 21

Structure:
abc: 6.6455 6.6455 5.3663
angles: 90.00 90.00 120.00
Space group P6_3/mmc (No. 194)
Symmetry-distinct sites (fractional):
1 Y 0.3333 0.6667 0.2500 (multiplicity 2)
2 Al 0.0000 0.0000 0.0000 (multiplicity 2)
3 Au 0.1920 0.3839 0.7500 (multiplicity 6)

---

5.
Starting from a GGA-PBE-relaxed structure, the powder diffraction line list of Ti3NbZn was simulated for CuKα.
No peak broadening, texture or thermal motion is included.

Peak list (6 most intense, 10 to 80 degrees two-theta, in order of rising 2θ)
2θ/deg, intensity
38.65, 61
38.72, 53
39.85, 98
40.04, 100
55.79, 19
70.81, 23

Structure:
abc: 4.6587 5.4318 7.7269
angles: 106.42 90.05 115.27
Space group P-1 (No. 2)
Symmetry-distinct sites (fractional):
1 Ti 0.0537 0.1088 0.3531 (multiplicity 2)
2 Ti 0.2515 0.5024 0.7536 (multiplicity 2)
3 Ti 0.4364 0.8727 0.1416 (multiplicity 2)
4 Nb 0.3567 0.7136 0.4523 (multiplicity 2)
5 Zn 0.1372 0.2742 0.0507 (multiplicity 2)

---

6.
Starting from a GGA-PBE-relaxed structure, the powder diffraction line list of TcOs3 was simulated for CuKα.
No peak broadening, texture or thermal motion is included.

Peak list (6 most intense, 10 to 80 degrees two-theta, in order of rising 2θ)
2θ/deg, intensity
39.20, 44
41.09, 34
43.22, 100
49.33, 23
68.23, 23
76.34, 19

Structure:
abc: 5.4981 5.4981 8.7877
angles: 90.00 90.00 120.00
Space group P6_3/mmc (No. 194)
Symmetry-distinct sites (fractional):
1 Tc 0.0000 0.0000 0.0000 (multiplicity 2)
2 Tc 0.3333 0.6667 0.2500 (multiplicity 2)
3 Os 0.0000 0.5000 0.0000 (multiplicity 6)
4 Os 0.1663 0.3325 0.7500 (multiplicity 6)